[1]
The following is a simulated X-ray diffraction stick pattern of PmGa2SeO8. It was derived from DFT lattice parameters and positions (PBE), using Cu Kα.
Lines closer than 0.1° are merged.

Structural model:
```
data_PmGa2SeO8
_symmetry_space_group_name_H-M 'P -1'
_symmetry_Int_Tables_number 2
_cell_length_a 4.4300
_cell_length_b 4.6230
_cell_length_c 6.9726
_cell_angle_alpha 84.34
_cell_angle_beta 89.85
_cell_angle_gamma 89.42
loop_
_symmetry_equiv_pos_as_xyz
'x,y,z'
'-x,-y,-z'
loop_
_atom_site_label
_atom_site_type_symbol
_atom_site_fract_x
_atom_site_fract_y
_atom_site_fract_z
Pm1 Pm 0.0000 0.0000 0.0000
Ga1 Ga 0.4735 0.4729 0.7002
Se1 Se 0.0000 0.0000 0.5000
O1 O 0.1771 0.7843 0.7112
O2 O 0.1795 0.8213 0.3116
O3 O 0.3018 0.2797 0.4919
O4 O 0.4444 0.2906 0.9490
```

Most intense lines, 2θ from 5° to 70°, sorted by position:
hkl 0 1 1, 22.11 deg, I 19; hkl 1 1 0, 27.82 deg, I 100; hkl 1 -1 0, 28.10 deg, I 87; hkl 0 1 2, 30.71 deg, I 48; hkl 1 0 2, 32.79 deg, I 65; hkl 0 1 -2, 33.86 deg, I 36; hkl 0 2 0, 39.16 deg, I 16; hkl 2 0 0, 40.74 deg, I 23; hkl -1 2 2, 50.00 deg, I 19; hkl -2 1 2, 52.07 deg, I 15; hkl 1 2 -2, 53.90 deg, I 29; hkl 1 -2 2, 54.23 deg, I 15

***

[2]
The following is a simulated X-ray diffraction stick pattern of CeSiBRh3. It was derived from DFT lattice parameters and positions (PBE), using Cu Kα.
Lines closer than 0.1° are merged.

Structural model:
```
data_CeSiBRh3
_symmetry_space_group_name_H-M 'P -6 m 2'
_symmetry_Int_Tables_number 187
_symmetry_space_group_name_Hall 'P -6 2'
_cell_length_a 5.5365
_cell_length_b 5.5365
_cell_length_c 3.4209
_cell_angle_alpha 90.00
_cell_angle_beta 90.00
_cell_angle_gamma 120.00
loop_
_atom_site_label
_atom_site_type_symbol
_atom_site_fract_x
_atom_site_fract_y
_atom_site_fract_z
Ce1 Ce 0.0000 0.0000 0.0000
Si1 Si 0.6667 0.3333 0.0000
B1 B 0.3333 0.6667 0.0000
Rh1 Rh 0.0131 0.5066 0.5000
```

Most intense lines, 2θ from 5° to 70°, sorted by position:
hkl 0 0 1, 26.05 deg, I 9; hkl 1 0 1, 32.14 deg, I 84; hkl 1 1 0, 32.34 deg, I 4; hkl 2 0 0, 37.52 deg, I 100; hkl 1 1 1, 41.99 deg, I 59; hkl 2 0 1, 46.24 deg, I 21; hkl 2 1 0, 50.35 deg, I 1; hkl 0 0 2, 53.58 deg, I 15; hkl 2 1 1, 57.55 deg, I 31; hkl 3 0 1, 64.34 deg, I 17; hkl 2 0 2, 67.24 deg, I 35; hkl 2 2 0, 67.69 deg, I 21

***

[3]
The following is a simulated X-ray diffraction stick pattern of CaNi2H8Pb. It was derived from DFT lattice parameters and positions (PBE), using Cu Kα.
Lines closer than 0.1° are merged.

Structural model:
```
data_CaNi2H8Pb
_symmetry_space_group_name_H-M 'R -3 m'
_symmetry_Int_Tables_number 166
_symmetry_space_group_name_Hall '-R 3 2"'
_cell_length_a 4.1500
_cell_length_b 4.1500
_cell_length_c 24.9973
_cell_angle_alpha 90.00
_cell_angle_beta 90.00
_cell_angle_gamma 120.00
loop_
_atom_site_label
_atom_site_type_symbol
_atom_site_fract_x
_atom_site_fract_y
_atom_site_fract_z
Ca1 Ca 0.0000 0.0000 0.0000
Ni1 Ni 0.0000 0.0000 0.2502
H1 H 0.0000 0.0000 0.1872
H2 H 0.0206 0.5103 0.0497
Pb1 Pb 0.0000 0.0000 0.5000
```

Most intense lines, 2θ from 5° to 70°, sorted by position:
hkl 0 0 3, 10.62 deg, I 51; hkl 1 0 1, 25.03 deg, I 26; hkl 0 1 2, 25.79 deg, I 11; hkl 1 0 4, 28.65 deg, I 100; hkl 0 1 5, 30.64 deg, I 15; hkl 1 0 7, 35.44 deg, I 11; hkl 0 1 8, 38.16 deg, I 47; hkl 1 1 0, 43.62 deg, I 32; hkl 1 1 3, 45.02 deg, I 12; hkl 0 2 4, 53.02 deg, I 18; hkl 2 0 8, 59.33 deg, I 12; hkl 1 1 12, 63.26 deg, I 21

***

[4]
The following is a simulated X-ray diffraction stick pattern of Nd2PaSb2N2. It was derived from DFT lattice parameters and positions (PBE), using Cu Kα.
Lines closer than 0.1° are merged.

Structural model:
```
data_Nd2PaSb2N2
_symmetry_space_group_name_H-M 'I 4/m m m'
_symmetry_Int_Tables_number 139
_symmetry_space_group_name_Hall '-I 4 2'
_cell_length_a 4.4133
_cell_length_b 4.4133
_cell_length_c 16.5343
_cell_angle_alpha 90.00
_cell_angle_beta 90.00
_cell_angle_gamma 90.00
loop_
_atom_site_label
_atom_site_type_symbol
_atom_site_fract_x
_atom_site_fract_y
_atom_site_fract_z
Nd1 Nd 0.0000 0.0000 0.1118
Pa1 Pa 0.0000 0.0000 0.5000
Sb1 Sb 0.0000 0.0000 0.3094
N1 N 0.0000 0.5000 0.0000
```

Most intense lines, 2θ from 5° to 70°, sorted by position:
hkl 0 0 2, 10.70 deg, I 11; hkl 1 0 3, 25.86 deg, I 9; hkl 1 1 0, 28.60 deg, I 78; hkl 1 0 5, 33.87 deg, I 100; hkl 2 0 0, 40.90 deg, I 35; hkl 0 0 8, 43.82 deg, I 6; hkl 2 0 6, 53.17 deg, I 6; hkl 2 1 5, 54.11 deg, I 53; hkl 2 2 0, 59.22 deg, I 12; hkl 1 1 10, 63.69 deg, I 12; hkl 3 1 0, 67.06 deg, I 14; hkl 3 0 5, 70.00 deg, I 13

***

[5]
The following is a simulated X-ray diffraction stick pattern of Tb15Pr4Tl. It was derived from DFT lattice parameters and positions (PBE), using Cu Kα.
Lines closer than 0.1° are merged.

Structural model:
```
data_Tb15Pr4Tl
_symmetry_space_group_name_H-M 'P 4/m m m'
_symmetry_Int_Tables_number 123
_symmetry_space_group_name_Hall '-P 4 2'
_cell_length_a 5.0270
_cell_length_b 5.0270
_cell_length_c 25.4749
_cell_angle_alpha 90.00
_cell_angle_beta 90.00
_cell_angle_gamma 90.00
loop_
_atom_site_label
_atom_site_type_symbol
_atom_site_fract_x
_atom_site_fract_y
_atom_site_fract_z
Tb1 Tb 0.0000 0.0000 0.0000
Tb2 Tb 0.0000 0.0000 0.1945
Tb3 Tb 0.0000 0.0000 0.3982
Tb4 Tb 0.0000 0.5000 0.0958
Tb5 Tb 0.0000 0.5000 0.2978
Tb6 Tb 0.0000 0.5000 0.5000
Pr1 Pr 0.5000 0.5000 0.1976
Pr2 Pr 0.5000 0.5000 0.3990
Tl1 Tl 0.5000 0.5000 0.0000
```

Most intense lines, 2θ from 5° to 70°, sorted by position:
hkl 0 0 2, 6.94 deg, I 1; hkl 1 1 5, 30.67 deg, I 100; hkl 1 1 6, 32.86 deg, I 1; hkl 0 0 10, 35.23 deg, I 17; hkl 2 0 0, 35.72 deg, I 34; hkl 2 0 10, 51.05 deg, I 24; hkl 2 2 0, 51.41 deg, I 12; hkl 1 1 14, 56.82 deg, I 1; hkl 1 1 15, 60.41 deg, I 14; hkl 3 1 5, 61.06 deg, I 28; hkl 2 2 10, 63.86 deg, I 12

***

[6]
The following is a simulated X-ray diffraction stick pattern of Tl2Te2O5. It was derived from DFT lattice parameters and positions (PBE), using Cu Kα.
Lines closer than 0.1° are merged.

Structural model:
```
data_Tl2Te2O5
_symmetry_space_group_name_H-M 'P 1 21/c 1'
_symmetry_Int_Tables_number 14
_cell_length_a 7.6022
_cell_length_b 12.2189
_cell_length_c 8.8478
_cell_angle_alpha 90.00
_cell_angle_beta 113.55
_cell_angle_gamma 90.00
loop_
_symmetry_equiv_pos_as_xyz
'x,y,z'
'-x,-y,-z'
'-x,y+1/2,-z+1/2'
'x,-y+1/2,z+1/2'
loop_
_atom_site_label
_atom_site_type_symbol
_atom_site_fract_x
_atom_site_fract_y
_atom_site_fract_z
Tl1 Tl 0.0361 0.2105 0.2893
Tl2 Tl 0.3007 0.5647 0.0287
Te1 Te 0.3047 0.0311 0.0197
Te2 Te 0.4297 0.1980 0.7057
O1 O 0.2301 0.1265 0.7459
O2 O 0.2347 0.1742 0.1037
O3 O 0.3720 0.1446 0.4892
O4 O 0.3953 0.5411 0.7345
O5 O 0.4481 0.5967 0.4357
```

Most intense lines, 2θ from 5° to 70°, sorted by position:
hkl 1 2 0, 19.32 deg, I 32; hkl 1 2 1, 24.66 deg, I 51; hkl 2 0 -2, 26.23 deg, I 84; hkl 0 2 2, 26.38 deg, I 100; hkl 2 2 0, 29.53 deg, I 73; hkl 1 1 2, 30.49 deg, I 24; hkl 1 4 -1, 32.13 deg, I 90; hkl 1 2 -3, 33.74 deg, I 33; hkl 3 0 0, 38.74 deg, I 28; hkl 2 2 -4, 44.31 deg, I 29; hkl 1 6 1, 49.15 deg, I 23; hkl 3 4 -3, 50.13 deg, I 25

***

[7]
The following is a simulated X-ray diffraction stick pattern of ZnSb2O4. It was derived from DFT lattice parameters and positions (PBE), using Cu Kα.
Lines closer than 0.1° are merged.

Structural model:
```
data_ZnSb2O4
_symmetry_space_group_name_H-M 'P 42/m b c'
_symmetry_Int_Tables_number 135
_symmetry_space_group_name_Hall '-P 4c 2ab'
_cell_length_a 8.6682
_cell_length_b 8.6682
_cell_length_c 6.0755
_cell_angle_alpha 90.00
_cell_angle_beta 90.00
_cell_angle_gamma 90.00
loop_
_atom_site_label
_atom_site_type_symbol
_atom_site_fract_x
_atom_site_fract_y
_atom_site_fract_z
Zn1 Zn 0.0000 0.5000 0.2500
Sb1 Sb 0.1640 0.1795 0.0000
O1 O 0.0942 0.3619 0.5000
O2 O 0.1814 0.6814 0.2500
```

Most intense lines, 2θ from 5° to 70°, sorted by position:
hkl 2 0 0, 20.49 deg, I 11; hkl 2 1 1, 27.29 deg, I 100; hkl 2 2 0, 29.14 deg, I 17; hkl 0 0 2, 29.40 deg, I 10; hkl 3 1 0, 32.67 deg, I 25; hkl 1 1 2, 32.91 deg, I 13; hkl 2 0 2, 36.11 deg, I 25; hkl 4 1 1, 45.66 deg, I 33; hkl 2 1 3, 50.87 deg, I 18; hkl 4 0 2, 51.82 deg, I 9; hkl 3 3 2, 54.10 deg, I 26; hkl 4 1 3, 63.82 deg, I 12

***

[8]
The following is a simulated X-ray diffraction stick pattern of PrHo3Te3. It was derived from DFT lattice parameters and positions (PBE), using Cu Kα.
Lines closer than 0.1° are merged.

Structural model:
```
data_PrHo3Te3
_symmetry_space_group_name_H-M 'R -3'
_symmetry_Int_Tables_number 148
_symmetry_space_group_name_Hall '-R 3'
_cell_length_a 8.0718
_cell_length_b 8.0718
_cell_length_c 23.8471
_cell_angle_alpha 90.00
_cell_angle_beta 90.00
_cell_angle_gamma 120.00
loop_
_atom_site_label
_atom_site_type_symbol
_atom_site_fract_x
_atom_site_fract_y
_atom_site_fract_z
Pr1 Pr 0.0000 0.0000 0.1661
Ho1 Ho 0.0152 0.3156 0.7113
Te1 Te 0.0106 0.3097 0.5688
```

Most intense lines, 2θ from 5° to 70°, sorted by position:
hkl 1 1 0, 22.02 deg, I 22; hkl 1 1 3, 24.74 deg, I 27; hkl 2 -1 6, 31.59 deg, I 100; hkl 2 1 1, 34.14 deg, I 9; hkl 3 0 0, 38.64 deg, I 57; hkl 1 1 9, 40.74 deg, I 24; hkl 2 2 6, 50.74 deg, I 22; hkl 1 1 12, 51.24 deg, I 13; hkl 4 -2 9, 57.40 deg, I 7; hkl 1 1 15, 62.82 deg, I 6; hkl 5 -1 6, 65.55 deg, I 17; hkl 3 3 0, 69.93 deg, I 7

***

[9]
The following is a simulated X-ray diffraction stick pattern of Pa3SI7. It was derived from DFT lattice parameters and positions (PBE), using Cu Kα.
Lines closer than 0.1° are merged.

Structural model:
```
data_Pa3SI7
_symmetry_space_group_name_H-M 'P 3 m 1'
_symmetry_Int_Tables_number 156
_cell_length_a 8.2765
_cell_length_b 8.2765
_cell_length_c 8.0691
_cell_angle_alpha 90.00
_cell_angle_beta 90.00
_cell_angle_gamma 120.00
loop_
_symmetry_equiv_pos_as_xyz
'x,y,z'
'-y,x-y,z'
'-x+y,-x,z'
'-y,-x,z'
'-x+y,y,z'
'x,x-y,z'
loop_
_atom_site_label
_atom_site_type_symbol
_atom_site_fract_x
_atom_site_fract_y
_atom_site_fract_z
Pa1 Pa 0.1702 0.3404 0.0000
S1 S 0.0000 0.0000 0.1458
I1 I 0.3333 0.6667 0.7337
I2 I 0.3424 0.1712 0.7620
I3 I 0.5033 0.0066 0.2447
```

Most intense lines, 2θ from 5° to 70°, sorted by position:
hkl 0 0 1, 10.96 deg, I 67; hkl 1 0 0, 12.35 deg, I 10; hkl 0 1 1, 16.54 deg, I 18; hkl 0 1 2, 25.33 deg, I 12; hkl 2 0 1, 27.23 deg, I 100; hkl 2 0 2, 33.44 deg, I 71; hkl 0 2 3, 42.00 deg, I 33; hkl 2 2 0, 43.75 deg, I 33; hkl 2 2 1, 45.24 deg, I 13; hkl 0 4 1, 52.30 deg, I 16; hkl 0 4 2, 56.15 deg, I 21; hkl 2 2 4, 64.52 deg, I 19

***

[10]
The following is a simulated X-ray diffraction stick pattern of Sr10In17Au27. It was derived from DFT lattice parameters and positions (PBE), using Cu Kα.
Lines closer than 0.1° are merged.

Structural model:
```
data_Sr10In17Au27
_symmetry_space_group_name_H-M 'P 1 m 1'
_symmetry_Int_Tables_number 6
_cell_length_a 9.1552
_cell_length_b 4.7530
_cell_length_c 29.8387
_cell_angle_alpha 90.00
_cell_angle_beta 90.63
_cell_angle_gamma 90.00
loop_
_symmetry_equiv_pos_as_xyz
'x,y,z'
'x,-y,z'
loop_
_atom_site_label
_atom_site_type_symbol
_atom_site_fract_x
_atom_site_fract_y
_atom_site_fract_z
Sr1 Sr 0.0000 0.0000 0.0000
Sr2 Sr 0.0006 0.0000 0.7689
Sr3 Sr 0.3396 0.5000 0.5018
Sr4 Sr 0.3543 0.5000 0.2670
Sr5 Sr 0.3705 0.5000 0.7375
Sr6 Sr 0.4642 0.5000 0.1268
Sr7 Sr 0.4908 0.5000 0.8823
Sr8 Sr 0.8738 0.0000 0.3754
Sr9 Sr 0.8824 0.0000 0.6282
Sr10 Sr 0.9809 0.0000 0.2349
In1 In 0.0917 0.0000 0.1207
In2 In 0.1152 0.0000 0.8829
In3 In 0.2418 0.5000 0.3817
In4 In 0.2499 0.5000 0.6220
In5 In 0.3953 0.5000 0.0035
In6 In 0.4825 0.0000 0.4125
In7 In 0.4893 0.0000 0.5902
In8 In 0.6021 0.0000 0.2158
In9 In 0.6204 0.0000 0.7865
In10 In 0.6287 0.0000 0.0477
In11 In 0.7051 0.5000 0.4498
In12 In 0.7080 0.5000 0.5531
In13 In 0.7333 0.5000 0.2856
In14 In 0.7468 0.5000 0.7168
In15 In 0.8552 0.5000 0.0899
In16 In 0.8608 0.5000 0.9156
In17 In 0.9548 0.0000 0.5019
Au1 Au 0.0073 0.5000 0.4459
Au2 Au 0.0104 0.5000 0.5576
Au3 Au 0.0237 0.5000 0.3109
Au4 Au 0.0371 0.5000 0.6930
Au5 Au 0.1366 0.5000 0.1765
Au6 Au 0.1501 0.5000 0.0661
Au7 Au 0.1623 0.5000 0.9371
Au8 Au 0.1630 0.5000 0.8282
Au9 Au 0.1880 0.0000 0.4363
Au10 Au 0.1923 0.0000 0.5675
Au11 Au 0.1991 0.0000 0.3249
Au12 Au 0.2121 0.0000 0.6788
Au13 Au 0.3109 0.0000 0.1914
Au14 Au 0.3285 0.0000 0.0577
Au15 Au 0.3349 0.0000 0.8139
Au16 Au 0.3451 0.0000 0.9498
Au17 Au 0.5561 0.5000 0.3659
Au18 Au 0.5649 0.5000 0.6369
Au19 Au 0.5770 0.0000 0.3112
Au20 Au 0.5857 0.0000 0.6915
Au21 Au 0.6271 0.0000 0.5013
Au22 Au 0.6586 0.0000 0.9491
Au23 Au 0.7189 0.5000 0.0024
Au24 Au 0.7600 0.5000 0.1901
Au25 Au 0.7739 0.0000 0.1344
Au26 Au 0.7752 0.5000 0.8123
Au27 Au 0.8042 0.0000 0.8658
```

Most intense lines, 2θ from 5° to 70°, sorted by position:
hkl 2 0 0, 19.39 deg, I 20; hkl 2 0 1, 19.62 deg, I 21; hkl 0 0 8, 23.86 deg, I 17; hkl 3 0 -4, 31.56 deg, I 17; hkl 1 1 -8, 31.95 deg, I 61; hkl 1 1 8, 32.11 deg, I 59; hkl 3 1 1, 35.08 deg, I 48; hkl 0 2 0, 37.86 deg, I 100; hkl 0 1 11, 38.21 deg, I 47; hkl 3 1 -7, 40.88 deg, I 33; hkl 3 1 7, 41.21 deg, I 20; hkl 3 1 8, 42.93 deg, I 17